# 1
Computed XRD peak list
Compound: Cs2AgSbS4
Radiation: a wavelength of 1.5418 Å
Structure: the PBE geometry in OQMD

Principal peaks in the range 5° ≤ 2θ ≤ 70°, in order of rising 2θ:
- 10.2 deg, rel. 21.5
- 22.3 deg, rel. 26.5
- 22.4 deg, rel. 100.0
- 26.5 deg, rel. 29.9
- 27.0 deg, rel. 21.4
- 27.8 deg, rel. 17.3
- 28.1 deg, rel. 24.7
- 30.9 deg, rel. 25.6
- 31.3 deg, rel. 24.8
- 45.5 deg, rel. 26.1

Crystal structure
Cell: 6.9963 11.5859 13.6251 Å, 90.00 104.01 90.00°
Element x y z (fractional)
Cs 0.1226 0.0045 0.3363
Cs 0.1226 0.4955 0.8363
Cs 0.3706 0.7471 0.6594
Cs 0.3706 0.7529 0.1594
Cs 0.6294 0.2471 0.8406
Cs 0.6294 0.2529 0.3406
Cs 0.8774 0.5045 0.1637
Cs 0.8774 0.9955 0.6637
Ag 0.3019 0.5219 0.4205
Ag 0.3019 0.9781 0.9205
Ag 0.6981 0.0219 0.0795
Ag 0.6981 0.4781 0.5795
Sb 0.1937 0.2138 0.0604
Sb 0.1937 0.2862 0.5604
Sb 0.8063 0.7138 0.4396
Sb 0.8063 0.7862 0.9396
S 0.1171 0.7098 0.3976
S 0.1171 0.7902 0.8976
S 0.1555 0.1819 0.8842
S 0.1555 0.3181 0.3842
S 0.3361 0.1043 0.6044
S 0.3361 0.3957 0.1044
S 0.3909 0.0579 0.1449
S 0.3909 0.4421 0.6449
S 0.6091 0.5579 0.3551
S 0.6091 0.9421 0.8551
S 0.6639 0.6043 0.8956
S 0.6639 0.8957 0.3956
S 0.8445 0.6819 0.6158
S 0.8445 0.8181 0.1158
S 0.8829 0.2098 0.1024
S 0.8829 0.2902 0.6024



# 2
Computed XRD peak list
Compound: GdPSe2S2
Radiation: a wavelength of 1.5418 Å
Structure: the PBE geometry in OQMD

Principal peaks in the range 5° ≤ 2θ ≤ 70°, in order of rising 2θ:
- 11.5 deg, rel. 100.0
- 17.7 deg, rel. 10.4
- 28.6 deg, rel. 21.2
- 30.2 deg, rel. 26.5
- 30.9 deg, rel. 17.7
- 37.0 deg, rel. 12.2
- 38.7 deg, rel. 10.1
- 40.1 deg, rel. 16.9
- 46.9 deg, rel. 10.0
- 50.1 deg, rel. 12.6

Crystal structure
Cell: 6.5777 6.7848 7.7121 Å, 88.39 86.96 84.85°
Element x y z (fractional)
Gd 0.2032 0.2126 0.0582
Gd 0.7968 0.7874 0.9418
P 0.3063 0.7577 0.8111
P 0.6937 0.2423 0.1889
Se 0.1152 0.5081 0.7666
Se 0.3731 0.7689 0.0930
Se 0.6269 0.2311 0.9070
Se 0.8848 0.4919 0.2334
S 0.1010 0.0015 0.7647
S 0.4358 0.2513 0.3410
S 0.5642 0.7487 0.6590
S 0.8990 0.9985 0.2353



# 3
Computed XRD peak list
Compound: TbSmC2I2
Radiation: a wavelength of 1.5418 Å
Structure: the PBE geometry in OQMD

Principal peaks in the range 5° ≤ 2θ ≤ 70°, in order of rising 2θ:
- 7.8 deg, rel. 100.0
- 15.6 deg, rel. 22.8
- 25.5 deg, rel. 47.1
- 28.0 deg, rel. 71.9
- 29.7 deg, rel. 37.7
- 30.4 deg, rel. 95.3
- 35.4 deg, rel. 26.4
- 40.4 deg, rel. 28.7
- 43.2 deg, rel. 41.6
- 54.6 deg, rel. 22.0

Crystal structure
Cell: 4.2021 4.2021 11.3936 Å, 92.87 92.87 56.18°
Element x y z (fractional)
Tb 0.0000 0.0000 0.0000
Sm 0.2906 0.2906 0.2465
C 0.5690 0.5690 0.1466
C 0.7225 0.7225 0.0921
I 0.3224 0.3224 0.8157
I 0.9705 0.9705 0.4356



# 4
Computed XRD peak list
Compound: Sr2ScPtN6
Radiation: a wavelength of 1.5418 Å
Structure: the PBE geometry in OQMD

Principal peaks in the range 5° ≤ 2θ ≤ 70°, in order of rising 2θ:
- 18.8 deg, rel. 49.4
- 18.9 deg, rel. 15.9
- 30.9 deg, rel. 67.1
- 31.0 deg, rel. 100.0
- 31.1 deg, rel. 33.1
- 36.4 deg, rel. 21.5
- 36.6 deg, rel. 15.6
- 44.4 deg, rel. 59.0
- 55.0 deg, rel. 33.6
- 55.2 deg, rel. 33.1

Crystal structure
Cell: 5.7551 5.7688 5.7715 Å, 60.29 60.19 60.17°
Element x y z (fractional)
Sr 0.2495 0.2509 0.2506
Sr 0.7505 0.7491 0.7494
Sc 0.0000 0.0000 0.0000
Pt 0.5000 0.5000 0.5000
N 0.2532 0.2591 0.7437
N 0.2564 0.7470 0.7405
N 0.2580 0.7431 0.2542
N 0.7420 0.2569 0.7458
N 0.7436 0.2530 0.2595
N 0.7468 0.7409 0.2563



What did the second record say?
Computed XRD peak list
Compound: GdPSe2S2
Radiation: a wavelength of 1.5418 Å
Structure: the PBE geometry in OQMD

Principal peaks in the range 5° ≤ 2θ ≤ 70°, in order of rising 2θ:
- 11.5 deg, rel. 100.0
- 17.7 deg, rel. 10.4
- 28.6 deg, rel. 21.2
- 30.2 deg, rel. 26.5
- 30.9 deg, rel. 17.7
- 37.0 deg, rel. 12.2
- 38.7 deg, rel. 10.1
- 40.1 deg, rel. 16.9
- 46.9 deg, rel. 10.0
- 50.1 deg, rel. 12.6

Crystal structure
Cell: 6.5777 6.7848 7.7121 Å, 88.39 86.96 84.85°
Element x y z (fractional)
Gd 0.2032 0.2126 0.0582
Gd 0.7968 0.7874 0.9418
P 0.3063 0.7577 0.8111
P 0.6937 0.2423 0.1889
Se 0.1152 0.5081 0.7666
Se 0.3731 0.7689 0.0930
Se 0.6269 0.2311 0.9070
Se 0.8848 0.4919 0.2334
S 0.1010 0.0015 0.7647
S 0.4358 0.2513 0.3410
S 0.5642 0.7487 0.6590
S 0.8990 0.9985 0.2353



What is the formula in the third record? TbSmC2I2